Structure and computed X-ray diffraction stick pattern of Li2MnCu3O8 (a structure optimized by DFT (GGA+U); copper Kα).

The 10 most intense peaks (2θ = 10–90°), low angle first:
- 18.5°, d 4.804, intensity 100
- 18.6°, d 4.765, intensity 39
- 35.8°, d 2.507, intensity 53
- 36.0°, d 2.494, intensity 17
- 37.4°, d 2.402, intensity 16
- 43.6°, d 2.076, intensity 76
- 57.7°, d 1.598, intensity 13
- 63.1°, d 1.472, intensity 23
- 63.6°, d 1.463, intensity 22
- 66.4°, d 1.407, intensity 11

```
Li2MnCu3O8
1.0
2.945 1.700 4.765
-2.945 1.700 4.765
0.000 -3.400 4.765
Li Mn Cu O
2 1 3 8
Cartesian
0.000 0.000 1.803
0.000 0.000 12.493
0.000 0.000 7.148
-1.472 -0.850 4.765
-1.472 0.850 9.530
0.000 1.700 4.765
0.000 0.000 3.799
0.000 -1.521 5.957
-1.317 0.760 5.957
-1.317 -0.760 8.339
1.317 0.760 5.957
1.317 -0.760 8.339
0.000 1.521 8.339
0.000 0.000 10.497
```